Starting from the GGA+U geometry in Alexandria, the powder XRD pattern of Cs2DyWO6 was calculated for Cu Kα X-rays.

Most intense lines, 10° ≤ 2θ ≤ 90°, low angle first:
- 14.98°, 5.915 Å, rel. 92
- 21.27°, 4.177 Å, rel. 24
- 26.07°, 3.418 Å, rel. 100
- 30.22°, 2.958 Å, rel. 22
- 33.95°, 2.641 Å, rel. 60
- 40.38°, 2.233 Å, rel. 28
- 43.31°, 2.089 Å, rel. 37
- 46.00°, 1.973 Å, rel. 20
- 51.26°, 1.782 Å, rel. 33
- 65.02°, 1.434 Å, rel. 17

a = 6.8350 Å, b = 6.8350 Å, c = 5.8964 Å
α = 90.00°, β = 90.00°, γ = 120.00°
Space group P-3m1 (No. 164)
Unique sites:
Cs 0.3333 0.6667 0.1280 x2
Dy 0.0000 0.0000 0.5000 x1
W 0.0000 0.0000 0.0000 x1
O 0.1291 0.2583 0.7920 x6